1.
# Na2Sr6TlPt
Theoretical powder diffraction line list, Cu Kα (weighted mean of Kα1 and Kα2). Input: the GGA-PBE geometry in Alexandria.

Atomic structure:
```
data_Na2Sr6TlPt
_chemical_formula_sum 'Na2 Sr6 Tl1 Pt1'
_cell_length_a 8.825
_cell_length_b 8.825
_cell_length_c 8.825
_cell_angle_alpha 120.26
_cell_angle_beta 119.81
_cell_angle_gamma 89.94
_symmetry_space_group_name_H-M 'P 1'
_symmetry_Int_Tables_number 1
loop_
_symmetry_equiv_pos_as_xyz
'x,y,z'
loop_
_atom_site_label
_atom_site_type_symbol
_atom_site_fract_x
_atom_site_fract_y
_atom_site_fract_z
Na1 Na 0.250 0.250 0.000
Na2 Na 0.750 0.750 0.000
Sr1 Sr 0.261 0.240 0.501
Sr2 Sr 0.261 0.760 0.021
Sr3 Sr 0.261 0.761 0.500
Sr4 Sr 0.739 0.239 0.500
Sr5 Sr 0.739 0.240 0.979
Sr6 Sr 0.739 0.760 0.499
Tl1 Tl 0.000 0.500 0.500
Pt1 Pt 0.500 0.000 0.500
```

Most intense lines, 2θ from 10° to 80°, in order of rising 2θ:
14.20 deg, I = 100; 20.11 deg, I = 20; 28.61 deg, I = 67; 32.06 deg, I = 47; 40.90 deg, I = 34; 43.43 deg, I = 14; 43.56 deg, I = 12; 67.08 deg, I = 15



2.
# Li4Ag5Pd4
Theoretical powder diffraction line list, Cu Kα (weighted mean of Kα1 and Kα2). Input: the GGA-PBE geometry in Alexandria.

Atomic structure:
```
data_Li4Ag5Pd4
_chemical_formula_sum 'Li4 Ag5 Pd4'
_cell_length_a 7.415
_cell_length_b 7.415
_cell_length_c 7.415
_cell_angle_alpha 94.22
_cell_angle_beta 94.22
_cell_angle_gamma 148.52
_symmetry_space_group_name_H-M 'P 1'
_symmetry_Int_Tables_number 1
loop_
_symmetry_equiv_pos_as_xyz
'x,y,z'
loop_
_atom_site_label
_atom_site_type_symbol
_atom_site_fract_x
_atom_site_fract_y
_atom_site_fract_z
Li1 Li 0.146 0.763 0.909
Li2 Li 0.237 0.146 0.383
Li3 Li 0.763 0.854 0.617
Li4 Li 0.854 0.237 0.091
Ag1 Ag 0.000 0.000 0.000
Ag2 Ag 0.304 0.546 0.850
Ag3 Ag 0.454 0.304 0.758
Ag4 Ag 0.546 0.696 0.242
Ag5 Ag 0.696 0.454 0.150
Pd1 Pd 0.080 0.385 0.465
Pd2 Pd 0.385 0.920 0.306
Pd3 Pd 0.615 0.080 0.694
Pd4 Pd 0.920 0.615 0.535
```

Most intense lines, 2θ from 10° to 80°, in order of rising 2θ:
17.57 deg, I = 25; 27.95 deg, I = 15; 29.75 deg, I = 17; 39.21 deg, I = 100; 45.08 deg, I = 17; 45.84 deg, I = 33; 66.25 deg, I = 22; 79.21 deg, I = 12